[1]
For CdHO2F, a cell relaxed with PBE gives the calculated powder X-ray diffraction pattern in this record (Cu Kα (weighted mean of Kα1 and Kα2)).
Kinematic intensities with the Lorentz-polarization factor, no thermal factor.

Structure:
```
data_CdHO2F
_cell_length_a 3.211
_cell_length_b 3.211
_cell_length_c 4.466
_cell_angle_alpha 90.00
_cell_angle_beta 90.00
_cell_angle_gamma 90.00
_space_group_name_H-M_alt 'P 4/m m m'
_space_group_IT_number 123
_space_group_name_Hall '-P 4 2'
loop_
_atom_site_label
_atom_site_type_symbol
_atom_site_fract_x
_atom_site_fract_y
_atom_site_fract_z
_atom_site_occupancy
Cd1 Cd 0.000 0.000 0.000 1
H1 H 0.500 0.500 0.500 1
O1 O 0.000 0.500 0.500 1
F1 F 0.500 0.500 0.000 1
```

Main lines, low angle first (2θ = 10–90°):
(0 0 1), d = 4.466 Å, I = 76; (1 0 0), d = 3.211 Å, I = 60; (1 0 1), d = 2.607 Å, I = 74; (1 1 0), d = 2.270 Å, I = 29; (0 0 2), d = 2.233 Å, I = 36; (1 1 1), d = 2.024 Å, I = 100; (1 0 2), d = 1.833 Å, I = 25; (2 0 0), d = 1.605 Å, I = 22; (2 1 1), d = 1.367 Å, I = 20; (2 0 2), d = 1.304 Å, I = 20

***

[2]
For CdHOF, a cell relaxed with PBE gives the calculated powder X-ray diffraction pattern in this record (Cu Kα (weighted mean of Kα1 and Kα2)).
Kinematic intensities with the Lorentz-polarization factor, no thermal factor.

Structure:
```
data_CdHOF
_cell_length_a 3.517
_cell_length_b 5.616
_cell_length_c 4.885
_cell_angle_alpha 90.00
_cell_angle_beta 90.00
_cell_angle_gamma 90.00
_space_group_name_H-M_alt 'P m n 21'
_space_group_IT_number 31
_space_group_name_Hall 'P 2ac -2'
loop_
_atom_site_label
_atom_site_type_symbol
_atom_site_fract_x
_atom_site_fract_y
_atom_site_fract_z
_atom_site_occupancy
Cd1 Cd 0.000 0.232 0.000 1
H1 H 0.000 0.770 0.927 1
O1 O 0.000 0.878 0.767 1
F1 F 0.000 0.607 0.229 1
```

Main lines, low angle first (2θ = 10–90°):
(0 1 1), d = 3.686 Å, I = 100; (1 1 0), d = 2.981 Å, I = 37; (1 0 1), d = 2.854 Å, I = 63; (0 2 0), d = 2.808 Å, I = 24; (1 2 1), d = 2.002 Å, I = 38; (1 1 2), d = 1.889 Å, I = 45; (0 2 2), d = 1.843 Å, I = 16; (1 3 0), d = 1.652 Å, I = 14; (2 1 1), d = 1.587 Å, I = 17; (0 1 3), d = 1.564 Å, I = 12